1.
For LaSmB12, a cell relaxed with PBE gives the computed powder diffraction line list in this record (Cu Kα, 1.54184 Å).
Peak positions follow from Bragg's law for the DFT cell and can differ from measured ones.

```
data_LaSmB12
_cell_length_a 4.1372
_cell_length_b 4.1372
_cell_length_c 8.2733
_cell_angle_alpha 90.00
_cell_angle_beta 90.00
_cell_angle_gamma 90.00
_space_group_name_H-M_alt 'P 1'
_space_group_IT_number 1
loop_
_space_group_symop_operation_xyz
'x,y,z'
loop_
_atom_site_label
_atom_site_type_symbol
_atom_site_fract_x
_atom_site_fract_y
_atom_site_fract_z
La1 La 0.0000 0.0000 0.0000
Sm1 Sm 0.0000 0.0000 0.5000
B1 B 0.1996 0.5000 0.2514
B2 B 0.1996 0.5000 0.7486
B3 B 0.5000 0.1996 0.2514
B4 B 0.5000 0.1996 0.7486
B5 B 0.5000 0.5000 0.1004
B6 B 0.5000 0.5000 0.4011
B7 B 0.5000 0.5000 0.5989
B8 B 0.5000 0.5000 0.8996
B9 B 0.5000 0.8004 0.2514
B10 B 0.5000 0.8004 0.7486
B11 B 0.8004 0.5000 0.2514
B12 B 0.8004 0.5000 0.7486
```

The 8 most intense peaks (5 to 70 degrees two-theta), low angle first:
21.48°, intensity 65
30.56°, intensity 100
37.66°, intensity 42
43.76°, intensity 21
49.25°, intensity 50
54.32°, intensity 27
63.61°, intensity 10
67.98°, intensity 28

2.
For LaSmB12, a cell relaxed with PBE gives the computed powder diffraction line list in this record (Cu Kα, 1.54184 Å).
Peak positions follow from Bragg's law for the DFT cell and can differ from measured ones.

```
data_LaSmB12
_cell_length_a 5.8520
_cell_length_b 5.8520
_cell_length_c 5.8520
_cell_angle_alpha 60.00
_cell_angle_beta 60.00
_cell_angle_gamma 60.00
_space_group_name_H-M_alt 'P 1'
_space_group_IT_number 1
loop_
_space_group_symop_operation_xyz
'x,y,z'
loop_
_atom_site_label
_atom_site_type_symbol
_atom_site_fract_x
_atom_site_fract_y
_atom_site_fract_z
La1 La 0.0000 0.0000 0.0000
Sm1 Sm 0.5000 0.5000 0.5000
B1 B 0.0998 0.0998 0.4002
B2 B 0.0998 0.4002 0.0998
B3 B 0.0998 0.4002 0.4002
B4 B 0.4002 0.0998 0.0998
B5 B 0.4002 0.0998 0.4002
B6 B 0.4002 0.4002 0.0998
B7 B 0.5998 0.5998 0.9002
B8 B 0.5998 0.9002 0.5998
B9 B 0.5998 0.9002 0.9002
B10 B 0.9002 0.5998 0.5998
B11 B 0.9002 0.5998 0.9002
B12 B 0.9002 0.9002 0.5998
```

The 8 most intense peaks (5 to 70 degrees two-theta), low angle first:
21.47°, intensity 65
30.55°, intensity 100
37.65°, intensity 42
43.75°, intensity 21
49.24°, intensity 50
54.30°, intensity 27
63.60°, intensity 10
67.96°, intensity 28

3.
For LaSnB, a cell relaxed with PBE gives the computed powder diffraction line list in this record (Cu Kα, 1.54184 Å).
Peak positions follow from Bragg's law for the DFT cell and can differ from measured ones.

```
data_LaSnB
_cell_length_a 4.1607
_cell_length_b 4.2155
_cell_length_c 8.1284
_cell_angle_alpha 89.43
_cell_angle_beta 79.40
_cell_angle_gamma 89.09
_space_group_name_H-M_alt 'P 1'
_space_group_IT_number 1
loop_
_space_group_symop_operation_xyz
'x,y,z'
loop_
_atom_site_label
_atom_site_type_symbol
_atom_site_fract_x
_atom_site_fract_y
_atom_site_fract_z
La1 La 0.0000 0.0000 0.0000
La2 La 0.1181 0.0247 0.4978
Sn1 Sn 0.5971 0.5066 0.7584
Sn2 Sn 0.6776 0.5372 0.3159
B1 B 0.2150 0.4215 0.2097
B2 B 0.4757 0.4995 0.0426
```

The 10 most intense peaks (5 to 70 degrees two-theta), low angle first:
28.22°, intensity 36
30.23°, intensity 42
30.71°, intensity 100
30.95°, intensity 47
34.13°, intensity 36
42.92°, intensity 21
44.31°, intensity 10
45.41°, intensity 11
52.60°, intensity 12
59.30°, intensity 13

4.
For SrLaB, a cell relaxed with PBE gives the computed powder diffraction line list in this record (Cu Kα, 1.54184 Å).
Peak positions follow from Bragg's law for the DFT cell and can differ from measured ones.

```
data_SrLaB
_cell_length_a 7.1703
_cell_length_b 7.1703
_cell_length_c 9.9901
_cell_angle_alpha 130.44
_cell_angle_beta 130.44
_cell_angle_gamma 30.39
_space_group_name_H-M_alt 'P 1'
_space_group_IT_number 1
loop_
_space_group_symop_operation_xyz
'x,y,z'
loop_
_atom_site_label
_atom_site_type_symbol
_atom_site_fract_x
_atom_site_fract_y
_atom_site_fract_z
Sr1 Sr 0.0000 0.0000 0.0000
Sr2 Sr 0.7383 0.7383 0.5106
La1 La 0.1091 0.1091 0.7602
La2 La 0.8796 0.8796 0.3058
B1 B 0.4198 0.4198 0.5389
B2 B 0.4567 0.4567 0.7312
```

The 10 most intense peaks (5 to 70 degrees two-theta), low angle first:
12.80°, intensity 30
25.26°, intensity 100
25.76°, intensity 83
27.02°, intensity 73
27.66°, intensity 67
30.49°, intensity 45
31.40°, intensity 53
36.07°, intensity 26
39.44°, intensity 30
55.68°, intensity 28

5.
For SrLaB, a cell relaxed with PBE gives the computed powder diffraction line list in this record (Cu Kα, 1.54184 Å).
Peak positions follow from Bragg's law for the DFT cell and can differ from measured ones.

```
data_SrLaB
_cell_length_a 7.9548
_cell_length_b 7.9548
_cell_length_c 7.9548
_cell_angle_alpha 152.90
_cell_angle_beta 119.52
_cell_angle_gamma 67.48
_space_group_name_H-M_alt 'P 1'
_space_group_IT_number 1
loop_
_space_group_symop_operation_xyz
'x,y,z'
loop_
_atom_site_label
_atom_site_type_symbol
_atom_site_fract_x
_atom_site_fract_y
_atom_site_fract_z
Sr1 Sr 0.2399 0.2399 0.0000
Sr2 Sr 0.7601 0.7601 0.0000
La1 La 0.2290 0.0000 0.2290
La2 La 0.7710 0.0000 0.7710
B1 B 0.0614 0.5614 0.5000
B2 B 0.9386 0.4386 0.5000
```

The 10 most intense peaks (5 to 70 degrees two-theta), low angle first:
24.81°, intensity 44
26.00°, intensity 100
26.37°, intensity 20
26.96°, intensity 50
31.42°, intensity 18
33.53°, intensity 41
38.81°, intensity 35
43.89°, intensity 23
47.04°, intensity 21
56.17°, intensity 29

6.
For LaTmB12, a cell relaxed with PBE gives the computed powder diffraction line list in this record (Cu Kα, 1.54184 Å).
Peak positions follow from Bragg's law for the DFT cell and can differ from measured ones.

```
data_LaTmB12
_cell_length_a 5.8265
_cell_length_b 5.8265
_cell_length_c 5.8265
_cell_angle_alpha 60.00
_cell_angle_beta 60.00
_cell_angle_gamma 60.00
_space_group_name_H-M_alt 'P 1'
_space_group_IT_number 1
loop_
_space_group_symop_operation_xyz
'x,y,z'
loop_
_atom_site_label
_atom_site_type_symbol
_atom_site_fract_x
_atom_site_fract_y
_atom_site_fract_z
La1 La 0.0000 0.0000 0.0000
Tm1 Tm 0.5000 0.5000 0.5000
B1 B 0.0995 0.0995 0.4005
B2 B 0.0995 0.4005 0.0995
B3 B 0.0995 0.4005 0.4005
B4 B 0.4005 0.0995 0.0995
B5 B 0.4005 0.0995 0.4005
B6 B 0.4005 0.4005 0.0995
B7 B 0.5995 0.5995 0.9005
B8 B 0.5995 0.9005 0.5995
B9 B 0.5995 0.9005 0.9005
B10 B 0.9005 0.5995 0.5995
B11 B 0.9005 0.5995 0.9005
B12 B 0.9005 0.9005 0.5995
```

The 10 most intense peaks (5 to 70 degrees two-theta), low angle first:
18.65°, intensity 2
21.57°, intensity 68
30.69°, intensity 100
36.15°, intensity 1
37.82°, intensity 42
43.95°, intensity 21
49.47°, intensity 50
54.56°, intensity 28
63.91°, intensity 10
68.30°, intensity 28

7.
For La2VB10, a cell relaxed with PBE gives the computed powder diffraction line list in this record (Cu Kα, 1.54184 Å).
Peak positions follow from Bragg's law for the DFT cell and can differ from measured ones.

```
data_La2VB10
_cell_length_a 5.8230
_cell_length_b 11.5984
_cell_length_c 4.2294
_cell_angle_alpha 90.00
_cell_angle_beta 90.00
_cell_angle_gamma 90.00
_space_group_name_H-M_alt 'P 1'
_space_group_IT_number 1
loop_
_space_group_symop_operation_xyz
'x,y,z'
loop_
_atom_site_label
_atom_site_type_symbol
_atom_site_fract_x
_atom_site_fract_y
_atom_site_fract_z
La1 La 0.2057 0.1373 0.0000
La2 La 0.2943 0.6373 0.0000
La3 La 0.7057 0.3627 0.0000
La4 La 0.7943 0.8627 0.0000
V1 V 0.0000 0.5000 0.5000
V2 V 0.5000 0.0000 0.5000
B1 B 0.0614 0.3078 0.5000
B2 B 0.1192 0.9569 0.5000
B3 B 0.1339 0.8025 0.5000
B4 B 0.2233 0.3816 0.2016
B5 B 0.2233 0.3816 0.7984
B6 B 0.2767 0.8816 0.2016
B7 B 0.2767 0.8816 0.7984
B8 B 0.3661 0.3025 0.5000
B9 B 0.3808 0.4569 0.5000
B10 B 0.4386 0.8078 0.5000
B11 B 0.5614 0.1922 0.5000
B12 B 0.6192 0.5431 0.5000
B13 B 0.6339 0.6975 0.5000
B14 B 0.7233 0.1184 0.2016
B15 B 0.7233 0.1184 0.7984
B16 B 0.7767 0.6184 0.2016
B17 B 0.7767 0.6184 0.7984
B18 B 0.8661 0.1975 0.5000
B19 B 0.8808 0.0431 0.5000
B20 B 0.9386 0.6922 0.5000
```

The 10 most intense peaks (5 to 70 degrees two-theta), low angle first:
21.00°, intensity 26
21.63°, intensity 65
27.17°, intensity 14
30.33°, intensity 100
30.84°, intensity 18
37.50°, intensity 36
37.61°, intensity 43
42.76°, intensity 16
44.08°, intensity 22
48.41°, intensity 27

8.
For LaVB2, a cell relaxed with PBE gives the computed powder diffraction line list in this record (Cu Kα, 1.54184 Å).
Peak positions follow from Bragg's law for the DFT cell and can differ from measured ones.

```
data_LaVB2
_cell_length_a 7.8855
_cell_length_b 7.8855
_cell_length_c 7.8855
_cell_angle_alpha 149.18
_cell_angle_beta 149.18
_cell_angle_gamma 44.14
_space_group_name_H-M_alt 'P 1'
_space_group_IT_number 1
loop_
_space_group_symop_operation_xyz
'x,y,z'
loop_
_atom_site_label
_atom_site_type_symbol
_atom_site_fract_x
_atom_site_fract_y
_atom_site_fract_z
La1 La 0.3750 0.6250 0.7500
La2 La 0.6250 0.3750 0.2500
V1 V 0.1250 0.8750 0.2500
V2 V 0.8750 0.1250 0.7500
B1 B 0.0000 0.0000 0.0000
B2 B 0.0000 0.0000 0.5000
B3 B 0.0000 0.5000 0.0000
B4 B 0.5000 0.0000 0.5000
```

The 10 most intense peaks (5 to 70 degrees two-theta), low angle first:
22.07°, intensity 19
24.36°, intensity 43
28.09°, intensity 20
32.61°, intensity 100
37.52°, intensity 9
43.18°, intensity 23
48.37°, intensity 32
50.19°, intensity 29
68.09°, intensity 11
68.32°, intensity 13